This entry pairs a crystal structure of TbPa2Cl8 with its theoretical powder diffractogram. Radiation: Cu Kα X-rays. Structure: a GGA-PBE-relaxed structure.

The 6 most intense peaks (10° ≤ 2θ ≤ 90°), most intense first:
- d 5.921, 2θ 14.96, I 100, (1 1 0)
- d 7.927, 2θ 11.16, I 31, (0 0 1)
- d 3.313, 2θ 26.91, I 26, (1 1 -2)
- d 2.563, 2θ 35.01, I 24, (0 2 2)
- d 3.272, 2θ 27.25, I 24, (1 1 2)
- d 6.265, 2θ 14.14, I 22, (2 0 0)

Cell and atoms:
```
data_TbPa2Cl8
_chemical_formula_sum 'Tb2 Pa4 Cl16'
_cell_length_a 12.535
_cell_length_b 6.719
_cell_length_c 7.930
_cell_angle_alpha 90.00
_cell_angle_beta 91.56
_cell_angle_gamma 90.00
_symmetry_space_group_name_H-M 'C 1 2/m 1'
_symmetry_Int_Tables_number 12
loop_
_symmetry_equiv_pos_as_xyz
'x,y,z'
'-x,-y,-z'
'-x,y,-z'
'x,-y,z'
'x+1/2,y+1/2,z'
'-x+1/2,-y+1/2,-z'
'-x+1/2,y+1/2,-z'
'x+1/2,-y+1/2,z'
loop_
_atom_site_label
_atom_site_fract_x
_atom_site_fract_y
_atom_site_fract_z
_atom_site_occupancy
Tb1 0.000 0.000 0.000 1
Pa1 0.096 0.000 0.465 1
Cl1 0.044 0.249 0.749 1
Cl2 0.194 0.000 0.148 1
Cl3 0.199 0.500 0.426 1
```

***

This entry pairs a crystal structure of PaTlCl6 with its theoretical powder diffractogram. Radiation: Cu Kα X-rays. Structure: a GGA-PBE-relaxed structure.

The 6 most intense peaks (10° ≤ 2θ ≤ 90°), most intense first:
- d 5.192, 2θ 17.08, I 100, (1 1 -1)
- d 5.968, 2θ 14.84, I 72, (0 2 0)
- d 4.190, 2θ 21.20, I 56, (1 1 1)
- d 2.974, 2θ 30.05, I 50, (1 3 1)
- d 2.093, 2θ 43.22, I 27, (3 3 -1)
- d 2.883, 2θ 31.02, I 23, (2 0 -2)

Cell and atoms:
```
data_PaTlCl6
_chemical_formula_sum 'Pa2 Tl2 Cl12'
_cell_length_a 7.413
_cell_length_b 11.937
_cell_length_c 7.190
_cell_angle_alpha 90.00
_cell_angle_beta 104.37
_cell_angle_gamma 90.00
_symmetry_space_group_name_H-M 'C 1 2/m 1'
_symmetry_Int_Tables_number 12
loop_
_symmetry_equiv_pos_as_xyz
'x,y,z'
'-x,-y,-z'
'-x,y,-z'
'x,-y,z'
'x+1/2,y+1/2,z'
'-x+1/2,-y+1/2,-z'
'-x+1/2,y+1/2,-z'
'x+1/2,-y+1/2,z'
loop_
_atom_site_label
_atom_site_fract_x
_atom_site_fract_y
_atom_site_fract_z
_atom_site_occupancy
Pa1 0.000 0.000 0.000 1
Tl1 0.000 0.500 0.500 1
Cl1 0.191 0.151 0.219 1
Cl2 0.238 0.000 0.797 1
```

***

This entry pairs a crystal structure of Pa2TlCl11 with its theoretical powder diffractogram. Radiation: Cu Kα X-rays. Structure: a GGA-PBE-relaxed structure.

The 6 most intense peaks (10° ≤ 2θ ≤ 90°), most intense first:
- d 5.174, 2θ 17.14, I 100, (1 2 1)
- d 5.494, 2θ 16.13, I 62, (1 1 2)
- d 4.659, 2θ 19.05, I 47, (2 0 2)
- d 2.706, 2θ 33.10, I 39, (3 3 2)
- d 3.934, 2θ 22.60, I 32, (3 1 0)
- d 2.622, 2θ 34.20, I 27, (3 1 4)

Cell and atoms:
```
data_Pa2TlCl11
_chemical_formula_sum 'Pa8 Tl4 Cl44'
_cell_length_a 12.408
_cell_length_b 12.472
_cell_length_c 14.068
_cell_angle_alpha 90.00
_cell_angle_beta 90.00
_cell_angle_gamma 90.00
_symmetry_space_group_name_H-M 'I b a m'
_symmetry_Int_Tables_number 72
_symmetry_space_group_name_Hall '-I 2 2c'
loop_
_atom_site_label
_atom_site_fract_x
_atom_site_fract_y
_atom_site_fract_z
_atom_site_occupancy
Pa1 0.160 0.154 0.000 1
Tl1 0.000 0.500 0.250 1
Cl1 0.000 0.000 0.000 1
Cl2 0.058 0.256 0.128 1
Cl3 0.198 0.206 0.500 1
Cl4 0.239 0.450 0.372 1
```

***

This entry pairs a crystal structure of PaZnCl6 with its theoretical powder diffractogram. Radiation: Cu Kα X-rays. Structure: a GGA-PBE-relaxed structure.

The 6 most intense peaks (10° ≤ 2θ ≤ 90°), most intense first:
- d 5.073, 2θ 17.48, I 100, (1 0 1)
- d 2.196, 2θ 41.10, I 58, (2 -1 4)
- d 4.088, 2θ 21.74, I 53, (1 0 2)
- d 2.845, 2θ 31.44, I 37, (1 1 2)
- d 1.869, 2θ 48.73, I 36, (3 0 0)
- d 3.248, 2θ 27.46, I 31, (1 0 3)

Cell and atoms:
```
data_PaZnCl6
_chemical_formula_sum 'Pa2 Zn2 Cl12'
_cell_length_a 6.4696
_cell_length_b 6.4696
_cell_length_c 11.9576
_cell_angle_alpha 90.00
_cell_angle_beta 90.00
_cell_angle_gamma 120.00
_symmetry_space_group_name_H-M 'P -3 1 c'
_symmetry_Int_Tables_number 163
_symmetry_space_group_name_Hall '-P 3 2c'
loop_
_atom_site_label
_atom_site_fract_x
_atom_site_fract_y
_atom_site_fract_z
_atom_site_occupancy
Pa1 0.3333 0.6667 0.2500 1
Zn1 0.0000 0.0000 0.0000 1
Cl1 0.0103 0.3229 0.1194 1
```

***

This entry pairs a crystal structure of ZrPaCl with its theoretical powder diffractogram. Radiation: Cu Kα X-rays. Structure: a GGA-PBE-relaxed structure.

The 6 most intense peaks (10° ≤ 2θ ≤ 90°), most intense first:
- d 2.820, 2θ 31.73, I 100, (1 1 -1)
- d 2.651, 2θ 33.82, I 92, (2 0 2)
- d 2.536, 2θ 35.39, I 90, (1 1 -3)
- d 2.568, 2θ 34.94, I 68, (0 0 6)
- d 2.444, 2θ 36.77, I 63, (1 1 3)
- d 2.432, 2θ 36.96, I 60, (2 0 -4)

Cell and atoms:
```
data_ZrPaCl
_chemical_formula_sum 'Zr4 Pa4 Cl4'
_cell_length_a 5.858
_cell_length_b 3.259
_cell_length_c 15.469
_cell_angle_alpha 90.00
_cell_angle_beta 95.13
_cell_angle_gamma 90.00
_symmetry_space_group_name_H-M 'C 1 2/m 1'
_symmetry_Int_Tables_number 12
loop_
_symmetry_equiv_pos_as_xyz
'x,y,z'
'-x,-y,-z'
'-x,y,-z'
'x,-y,z'
'x+1/2,y+1/2,z'
'-x+1/2,-y+1/2,-z'
'-x+1/2,y+1/2,-z'
'x+1/2,-y+1/2,z'
loop_
_atom_site_label
_atom_site_fract_x
_atom_site_fract_y
_atom_site_fract_z
_atom_site_occupancy
Zr1 0.237 0.000 0.240 1
Pa1 0.093 0.500 0.414 1
Cl1 0.119 0.000 0.877 1
```

***

This entry pairs a crystal structure of PbCl5 with its theoretical powder diffractogram. Radiation: Cu Kα X-rays. Structure: a GGA-PBE-relaxed structure.

The 6 most intense peaks (10° ≤ 2θ ≤ 90°), most intense first:
- d 4.727, 2θ 18.77, I 100, (0 1 1)
- d 2.685, 2θ 33.37, I 41, (0 2 0)
- d 4.967, 2θ 17.86, I 39, (0 0 2)
- d 3.282, 2θ 27.17, I 37, (1 0 -2)
- d 3.014, 2θ 29.64, I 36, (1 0 2)
- d 4.050, 2θ 21.95, I 27, (1 0 0)

Cell and atoms:
```
data_PbCl5
_chemical_formula_sum 'Pb1 Cl5'
_cell_length_a 4.066
_cell_length_b 5.375
_cell_length_c 9.972
_cell_angle_alpha 90.00
_cell_angle_beta 95.00
_cell_angle_gamma 90.00
_symmetry_space_group_name_H-M 'P 1 m 1'
_symmetry_Int_Tables_number 6
loop_
_symmetry_equiv_pos_as_xyz
'x,y,z'
'x,-y,z'
loop_
_atom_site_label
_atom_site_fract_x
_atom_site_fract_y
_atom_site_fract_z
_atom_site_occupancy
Pb1 0.000 0.000 0.000 1
Cl1 0.118 0.500 0.591 1
Cl2 0.463 0.000 0.812 1
Cl3 0.535 0.000 0.188 1
Cl4 0.902 0.500 0.405 1
Cl5 0.998 0.500 0.000 1
```

***

Please write out number 2 again, unchanged.
This entry pairs a crystal structure of PaTlCl6 with its theoretical powder diffractogram. Radiation: Cu Kα X-rays. Structure: a GGA-PBE-relaxed structure.

The 6 most intense peaks (10° ≤ 2θ ≤ 90°), most intense first:
- d 5.192, 2θ 17.08, I 100, (1 1 -1)
- d 5.968, 2θ 14.84, I 72, (0 2 0)
- d 4.190, 2θ 21.20, I 56, (1 1 1)
- d 2.974, 2θ 30.05, I 50, (1 3 1)
- d 2.093, 2θ 43.22, I 27, (3 3 -1)
- d 2.883, 2θ 31.02, I 23, (2 0 -2)

Cell and atoms:
```
data_PaTlCl6
_chemical_formula_sum 'Pa2 Tl2 Cl12'
_cell_length_a 7.413
_cell_length_b 11.937
_cell_length_c 7.190
_cell_angle_alpha 90.00
_cell_angle_beta 104.37
_cell_angle_gamma 90.00
_symmetry_space_group_name_H-M 'C 1 2/m 1'
_symmetry_Int_Tables_number 12
loop_
_symmetry_equiv_pos_as_xyz
'x,y,z'
'-x,-y,-z'
'-x,y,-z'
'x,-y,z'
'x+1/2,y+1/2,z'
'-x+1/2,-y+1/2,-z'
'-x+1/2,y+1/2,-z'
'x+1/2,-y+1/2,z'
loop_
_atom_site_label
_atom_site_fract_x
_atom_site_fract_y
_atom_site_fract_z
_atom_site_occupancy
Pa1 0.000 0.000 0.000 1
Tl1 0.000 0.500 0.500 1
Cl1 0.191 0.151 0.219 1
Cl2 0.238 0.000 0.797 1
```